Starting from a structure optimized by DFT (GGA+U), the X-ray powder pattern of BaFeBP2O9 was simulated for Cu Kα, 1.54184 Å.

Cell and atoms:
Cell: 5.3547 8.1736 8.2362 Å, 88.53 87.70 80.02°
Space group P-1 (No. 2)
Asymmetric unit:
1 Ba 0.2243 0.1295 0.3106 x2
2 Fe 0.2264 0.2109 0.8065 x2
3 B 0.3799 0.5428 0.7434 x2
4 P 0.2772 0.8179 0.9429 x2
5 P 0.2948 0.6969 0.4271 x2
6 O 0.0070 0.7886 0.9904 x2
7 O 0.0453 0.8036 0.3692 x2
8 O 0.2310 0.4338 0.8083 x2
9 O 0.2308 0.6516 0.6082 x2
10 O 0.2535 0.9536 0.8040 x2
11 O 0.3649 0.5329 0.3310 x2
12 O 0.4211 0.8625 0.0875 x2
13 O 0.4479 0.6624 0.8622 x2
14 O 0.4897 0.1981 0.5828 x2

Most intense lines, 2θ = 10–80°, low angle first:
h k l	d (Å)	2θ (°)	I_rel
0 1 0	8.048	10.99	73
0 0 2	4.107	21.64	42
1 2 0	3.503	25.43	39
1 0 2	3.302	27.01	36
1 1 2	3.192	27.95	100
-1 1 2	2.877	31.09	38